Entry 1:
PuAgAu2: simulated X-ray powder pattern (Cu Kα X-rays), based on a cell relaxed with PBE.
Kinematic intensities with the Lorentz-polarization factor, no thermal factor.

Structure:
```
data_PuAgAu2
_cell_length_a 7.0104
_cell_length_b 7.0104
_cell_length_c 7.0104
_cell_angle_alpha 90.00
_cell_angle_beta 90.00
_cell_angle_gamma 90.00
_symmetry_space_group_name_H-M 'P 1'
_symmetry_Int_Tables_number 1
loop_
_symmetry_equiv_pos_as_xyz
'x,y,z'
loop_
_atom_site_label
_atom_site_type_symbol
_atom_site_fract_x
_atom_site_fract_y
_atom_site_fract_z
Pu1 Pu 0.0000 0.0000 0.0000
Pu2 Pu 0.0000 0.5000 0.5000
Pu3 Pu 0.5000 0.0000 0.5000
Pu4 Pu 0.5000 0.5000 0.0000
Ag1 Ag 0.0000 0.0000 0.5000
Ag2 Ag 0.0000 0.5000 0.0000
Ag3 Ag 0.5000 0.0000 0.0000
Ag4 Ag 0.5000 0.5000 0.5000
Au1 Au 0.2500 0.2500 0.2500
Au2 Au 0.2500 0.2500 0.7500
Au3 Au 0.2500 0.7500 0.2500
Au4 Au 0.2500 0.7500 0.7500
Au5 Au 0.7500 0.2500 0.2500
Au6 Au 0.7500 0.2500 0.7500
Au7 Au 0.7500 0.7500 0.2500
Au8 Au 0.7500 0.7500 0.7500
```

Main lines, in order of rising 2θ (2θ = 10–90°):
2θ (°), Rel. int.
21.96, 6
36.24, 100
52.19, 18
65.19, 37
76.94, 12
88.13, 17

=====

Entry 2:
MgNb2S4Br4: simulated X-ray powder pattern (Cu Kα X-rays), based on a cell relaxed with PBE.
Kinematic intensities with the Lorentz-polarization factor, no thermal factor.

Structure:
```
data_MgNb2S4Br4
_cell_length_a 6.7992
_cell_length_b 6.8642
_cell_length_c 8.1745
_cell_angle_alpha 110.06
_cell_angle_beta 108.11
_cell_angle_gamma 96.52
_symmetry_space_group_name_H-M 'P 1'
_symmetry_Int_Tables_number 1
loop_
_symmetry_equiv_pos_as_xyz
'x,y,z'
loop_
_atom_site_label
_atom_site_type_symbol
_atom_site_fract_x
_atom_site_fract_y
_atom_site_fract_z
Mg1 Mg 0.0000 0.0000 0.0000
Nb1 Nb 0.5432 0.8256 0.1064
Nb2 Nb 0.6270 0.4352 0.0216
S1 S 0.2731 0.4948 0.8624
S2 S 0.3295 0.5186 0.1292
S3 S 0.6980 0.6776 0.8640
S4 S 0.8235 0.7384 0.3094
Br1 Br 0.3171 0.0420 0.2973
Br2 Br 0.3247 0.0078 0.8597
Br3 Br 0.7955 0.1858 0.7923
Br4 Br 0.8218 0.2238 0.2468
```

Main lines, in order of rising 2θ (2θ = 10–90°):
2θ (°), Rel. int.
12.43, 100
14.15, 36
14.93, 17
30.13, 19
33.93, 19
35.10, 28

=====

Entry 3:
TmBiTe3: simulated X-ray powder pattern (Cu Kα X-rays), based on a cell relaxed with PBE.
Kinematic intensities with the Lorentz-polarization factor, no thermal factor.

Structure:
```
data_TmBiTe3
_cell_length_a 4.3843
_cell_length_b 4.3843
_cell_length_c 32.0251
_cell_angle_alpha 90.00
_cell_angle_beta 90.00
_cell_angle_gamma 120.00
_symmetry_space_group_name_H-M 'P 1'
_symmetry_Int_Tables_number 1
loop_
_symmetry_equiv_pos_as_xyz
'x,y,z'
loop_
_atom_site_label
_atom_site_type_symbol
_atom_site_fract_x
_atom_site_fract_y
_atom_site_fract_z
Tm1 Tm 0.0000 0.0000 0.0000
Tm2 Tm 0.3333 0.6667 0.6667
Tm3 Tm 0.6667 0.3333 0.3333
Bi1 Bi 0.0000 0.0000 0.2051
Bi2 Bi 0.3333 0.6667 0.8718
Bi3 Bi 0.6667 0.3333 0.5384
Te1 Te 0.0000 0.0000 0.3829
Te2 Te 0.0000 0.0000 0.6071
Te3 Te 0.0000 0.0000 0.8182
Te4 Te 0.3333 0.6667 0.0495
Te5 Te 0.3333 0.6667 0.2737
Te6 Te 0.3333 0.6667 0.4849
Te7 Te 0.6667 0.3333 0.1515
Te8 Te 0.6667 0.3333 0.7162
Te9 Te 0.6667 0.3333 0.9404
```

Main lines, in order of rising 2θ (2θ = 10–90°):
2θ (°), Rel. int.
16.61, 13
27.30, 100
36.71, 33
41.18, 37
50.12, 19
66.80, 16

=====

Repeat the second record exactly.
MgNb2S4Br4: simulated X-ray powder pattern (Cu Kα X-rays), based on a cell relaxed with PBE.
Kinematic intensities with the Lorentz-polarization factor, no thermal factor.

Structure:
```
data_MgNb2S4Br4
_cell_length_a 6.7992
_cell_length_b 6.8642
_cell_length_c 8.1745
_cell_angle_alpha 110.06
_cell_angle_beta 108.11
_cell_angle_gamma 96.52
_symmetry_space_group_name_H-M 'P 1'
_symmetry_Int_Tables_number 1
loop_
_symmetry_equiv_pos_as_xyz
'x,y,z'
loop_
_atom_site_label
_atom_site_type_symbol
_atom_site_fract_x
_atom_site_fract_y
_atom_site_fract_z
Mg1 Mg 0.0000 0.0000 0.0000
Nb1 Nb 0.5432 0.8256 0.1064
Nb2 Nb 0.6270 0.4352 0.0216
S1 S 0.2731 0.4948 0.8624
S2 S 0.3295 0.5186 0.1292
S3 S 0.6980 0.6776 0.8640
S4 S 0.8235 0.7384 0.3094
Br1 Br 0.3171 0.0420 0.2973
Br2 Br 0.3247 0.0078 0.8597
Br3 Br 0.7955 0.1858 0.7923
Br4 Br 0.8218 0.2238 0.2468
```

Main lines, in order of rising 2θ (2θ = 10–90°):
2θ (°), Rel. int.
12.43, 100
14.15, 36
14.93, 17
30.13, 19
33.93, 19
35.10, 28